Li2PrErTl4: calculated XRD peak list (Cu Kα X-rays), based on a GGA-PBE-relaxed structure.
No peak broadening, texture or thermal motion is included.

Most intense lines, 2θ from 5° to 70°, low angle first:
2θ/deg  I_rel
20.8  17
24.0  22
34.2  100
40.3  7
40.4  2
42.3  5
49.2  18
54.0  2
55.4  5
55.5  5
61.1  9
61.3  28

Cell lengths 9.0956, 9.0956, 9.0956 Å; angles 33.43, 33.43, 33.43 degrees
Positions (direct):
Li1 0.2488 0.2488 0.2488
Li2 0.7512 0.7512 0.7512
Pr1 0.0000 0.0000 0.0000
Er1 0.5000 0.5000 0.5000
Tl1 0.1275 0.1275 0.1275
Tl2 0.3783 0.3783 0.3783
Tl3 0.6217 0.6217 0.6217
Tl4 0.8725 0.8725 0.8725


Li3Er2Pt4: calculated XRD peak list (Cu Kα X-rays), based on a GGA-PBE-relaxed structure.
No peak broadening, texture or thermal motion is included.

Most intense lines, 2θ from 5° to 70°, low angle first:
2θ/deg  I_rel
20.9  20
24.6  48
25.8  26
26.5  25
37.7  100
38.3  14
38.8  83
42.0  38
42.3  31
48.8  22
61.1  21
66.3  22

Cell lengths 4.7491, 4.7491, 8.6902 Å; angles 100.77, 100.77, 53.93 degrees
Positions (direct):
Li1 0.0000 0.0000 0.0000
Li2 0.3598 0.3598 0.4337
Li3 0.6402 0.6402 0.5663
Er1 0.3174 0.3174 0.7750
Er2 0.6826 0.6826 0.2250
Pt1 0.0263 0.0263 0.3498
Pt2 0.3418 0.3418 0.1063
Pt3 0.6582 0.6582 0.8937
Pt4 0.9737 0.9737 0.6502